1.
# Sr3CaRh
Calculated powder diffractogram, CuKα. Input: the GGA-PBE geometry in Alexandria.
Intensities are scaled so that the largest is 100.

Crystal structure
```
data_Sr3CaRh
_cell_length_a 8.135
_cell_length_b 7.191
_cell_length_c 8.052
_cell_angle_alpha 90.00
_cell_angle_beta 117.11
_cell_angle_gamma 90.00
_symmetry_space_group_name_H-M 'P 1 c 1'
_symmetry_Int_Tables_number 7
loop_
_symmetry_equiv_pos_as_xyz
'x,y,z'
'x,-y,z+1/2'
loop_
_atom_site_label
_atom_site_type_symbol
_atom_site_fract_x
_atom_site_fract_y
_atom_site_fract_z
_atom_site_occupancy
Sr1 Sr 0.000 0.075 0.000 1
Sr2 Sr 0.245 0.419 0.761 1
Sr3 Sr 0.521 0.086 0.510 1
Ca1 Ca 0.761 0.433 0.277 1
Rh1 Rh 0.877 0.263 0.631 1
```

The 10 most intense peaks (10 to 80 degrees two-theta), by angle:
12.2 deg, I = 44; 17.5 deg, I = 79; 17.8 deg, I = 56; 27.6 deg, I = 100; 27.8 deg, I = 98; 28.0 deg, I = 88; 35.7 deg, I = 43; 36.0 deg, I = 92; 43.4 deg, I = 65; 46.9 deg, I = 46

2.
# PmPrNd2Er5
Calculated powder diffractogram, CuKα. Input: the GGA-PBE geometry in Alexandria.
Intensities are scaled so that the largest is 100.

Crystal structure
```
data_PmPrNd2Er5
_cell_length_a 8.719
_cell_length_b 8.719
_cell_length_c 15.533
_cell_angle_alpha 90.00
_cell_angle_beta 90.00
_cell_angle_gamma 90.00
_symmetry_space_group_name_H-M 'I 4/m c m'
_symmetry_Int_Tables_number 140
_symmetry_space_group_name_Hall '-I 4 2c'
loop_
_atom_site_label
_atom_site_type_symbol
_atom_site_fract_x
_atom_site_fract_y
_atom_site_fract_z
_atom_site_occupancy
Pm1 Pm 0.000 0.500 0.250 1
Pr1 Pr 0.000 0.000 0.250 1
Nd1 Nd 0.117 0.383 0.000 1
Er1 Er 0.000 0.000 0.000 1
Er2 Er 0.209 0.291 0.363 1
```

The 10 most intense peaks (10 to 80 degrees two-theta), by angle:
28.7 deg, I = 48; 29.0 deg, I = 51; 30.8 deg, I = 100; 32.5 deg, I = 13; 37.0 deg, I = 12; 37.6 deg, I = 16; 43.1 deg, I = 20; 46.8 deg, I = 12; 52.5 deg, I = 22; 56.0 deg, I = 13

3.
# Tb3I7Cl
Calculated powder diffractogram, CuKα. Input: the GGA-PBE geometry in Alexandria.
Intensities are scaled so that the largest is 100.

Crystal structure
```
data_Tb3I7Cl
_cell_length_a 14.844
_cell_length_b 8.580
_cell_length_c 10.780
_cell_angle_alpha 90.00
_cell_angle_beta 133.47
_cell_angle_gamma 90.00
_symmetry_space_group_name_H-M 'C 1 m 1'
_symmetry_Int_Tables_number 8
loop_
_symmetry_equiv_pos_as_xyz
'x,y,z'
'x,-y,z'
'x+1/2,y+1/2,z'
'x+1/2,-y+1/2,z'
loop_
_atom_site_label
_atom_site_type_symbol
_atom_site_fract_x
_atom_site_fract_y
_atom_site_fract_z
_atom_site_occupancy
Tb1 Tb 0.000 0.000 0.000 1
Tb2 Tb 0.246 0.246 0.000 1
I1 I 0.052 0.500 0.773 1
I2 I 0.196 0.249 0.230 1
I3 I 0.300 0.252 0.772 1
I4 I 0.445 0.000 0.230 1
I5 I 0.448 0.500 0.235 1
Cl1 Cl 0.076 0.000 0.824 1
```

The 10 most intense peaks (10 to 80 degrees two-theta), by angle:
11.3 deg, I = 56; 26.6 deg, I = 100; 33.3 deg, I = 62; 42.2 deg, I = 36; 42.4 deg, I = 34; 43.8 deg, I = 12; 50.5 deg, I = 17; 54.7 deg, I = 15; 64.5 deg, I = 16; 67.8 deg, I = 14